Nd6YMg2: calculated XRD peak list (CuKα), based on a cell relaxed with PBE.
Kinematic intensities with the Lorentz-polarization factor, no thermal factor.

Most intense lines, 2θ from 10° to 90°, by angle:
| (hkl) | two_theta | I (rel.) |
| --- | --- | --- |
| 1 1 1 | 19.42 | 45 |
| 1 1 2 | 26.17 | 23 |
| 0 0 3 | 30.35 | 61 |
| 2 0 1 | 30.59 | 59 |
| 1 3 1 | 30.78 | 100 |
| 2 0 2 | 35.40 | 36 |
| 1 3 2 | 35.56 | 71 |
| 1 3 4 | 50.90 | 23 |

Cell and atoms:
```
data_Nd6YMg2
_cell_length_a 6.1945
_cell_length_b 10.6326
_cell_length_c 8.8343
_cell_angle_alpha 90.00
_cell_angle_beta 90.00
_cell_angle_gamma 90.00
_space_group_name_H-M_alt 'C 2 2 2'
_space_group_IT_number 21
loop_
_space_group_symop_operation_xyz
'x,y,z'
'-x,-y,z'
'x,-y,-z'
'-x,y,-z'
'x+1/2,y+1/2,z'
'-x+1/2,-y+1/2,z'
'x+1/2,-y+1/2,-z'
'-x+1/2,y+1/2,-z'
loop_
_atom_site_label
_atom_site_type_symbol
_atom_site_fract_x
_atom_site_fract_y
_atom_site_fract_z
Nd1 Nd 0.0000 0.1735 0.0000
Nd2 Nd 0.2438 0.4150 0.6622
Y1 Y 0.0000 0.5000 0.0000
Mg1 Mg 0.2500 0.2500 0.3283
```


Nd7Y3Mg: calculated XRD peak list (CuKα), based on a cell relaxed with PBE.
Kinematic intensities with the Lorentz-polarization factor, no thermal factor.

Most intense lines, 2θ from 10° to 90°, by angle:
| (hkl) | two_theta | I (rel.) |
| --- | --- | --- |
| 0 0 1 | 10.14 | 16 |
| 2 0 1 | 30.63 | 100 |
| 0 0 3 | 30.76 | 32 |
| 0 2 2 | 35.55 | 67 |
| 2 2 0 | 51.07 | 23 |
| 2 0 4 | 51.24 | 24 |
| 2 2 3 | 60.79 | 41 |
| 0 2 5 | 60.96 | 14 |

Cell and atoms:
```
data_Nd7Y3Mg
_cell_length_a 7.1531
_cell_length_b 7.1531
_cell_length_c 8.7205
_cell_angle_alpha 90.00
_cell_angle_beta 90.00
_cell_angle_gamma 120.00
_space_group_name_H-M_alt 'P 3 m 1'
_space_group_IT_number 156
loop_
_space_group_symop_operation_xyz
'x,y,z'
'-y,x-y,z'
'-x+y,-x,z'
'-y,-x,z'
'-x+y,y,z'
'x,x-y,z'
loop_
_atom_site_label
_atom_site_type_symbol
_atom_site_fract_x
_atom_site_fract_y
_atom_site_fract_z
Nd1 Nd 0.0000 0.0000 0.0000
Nd2 Nd 0.1645 0.3291 0.6666
Nd3 Nd 0.5005 0.0011 0.0020
Y1 Y 0.3319 0.1659 0.3345
Mg1 Mg 0.6667 0.3333 0.6653
```


NdY4Mg: calculated XRD peak list (CuKα), based on a cell relaxed with PBE.
Kinematic intensities with the Lorentz-polarization factor, no thermal factor.

Most intense lines, 2θ from 10° to 90°, by angle:
| (hkl) | two_theta | I (rel.) |
| --- | --- | --- |
| 1 0 2 | 27.53 | 17 |
| 1 0 3 | 30.98 | 100 |
| 1 1 0 | 34.85 | 39 |
| 0 0 6 | 37.98 | 12 |
| 2 0 0 | 50.12 | 14 |
| 1 1 6 | 52.49 | 18 |
| 2 1 3 | 60.09 | 29 |
| 2 0 6 | 64.57 | 9 |

Cell and atoms:
```
data_NdY4Mg
_cell_length_a 3.6404
_cell_length_b 3.6404
_cell_length_c 14.2147
_cell_angle_alpha 90.00
_cell_angle_beta 90.00
_cell_angle_gamma 90.00
_space_group_name_H-M_alt 'P 4/m m m'
_space_group_IT_number 123
_space_group_name_Hall '-P 4 2'
loop_
_atom_site_label
_atom_site_type_symbol
_atom_site_fract_x
_atom_site_fract_y
_atom_site_fract_z
Nd1 Nd 0.0000 0.0000 0.0000
Y1 Y 0.0000 0.0000 0.3533
Y2 Y 0.5000 0.5000 0.1787
Mg1 Mg 0.5000 0.5000 0.5000
```


NdYMg5: calculated XRD peak list (CuKα), based on a cell relaxed with PBE.
Kinematic intensities with the Lorentz-polarization factor, no thermal factor.

Most intense lines, 2θ from 10° to 90°, by angle:
| (hkl) | two_theta | I (rel.) |
| --- | --- | --- |
| 0 2 0 | 18.25 | 45 |
| 1 1 -1 | 18.97 | 100 |
| 1 1 1 | 25.37 | 79 |
| 1 3 -1 | 32.32 | 60 |
| 2 0 -2 | 33.58 | 45 |
| 0 2 2 | 33.82 | 84 |
| 2 2 0 | 35.16 | 71 |
| 0 4 0 | 36.99 | 28 |

Cell and atoms:
```
data_NdYMg5
_cell_length_a 6.3672
_cell_length_b 9.7204
_cell_length_c 6.7126
_cell_angle_alpha 90.00
_cell_angle_beta 109.62
_cell_angle_gamma 90.00
_space_group_name_H-M_alt 'C 1 2/m 1'
_space_group_IT_number 12
loop_
_space_group_symop_operation_xyz
'x,y,z'
'-x,-y,-z'
'-x,y,-z'
'x,-y,z'
'x+1/2,y+1/2,z'
'-x+1/2,-y+1/2,-z'
'-x+1/2,y+1/2,-z'
'x+1/2,-y+1/2,z'
loop_
_atom_site_label
_atom_site_type_symbol
_atom_site_fract_x
_atom_site_fract_y
_atom_site_fract_z
Nd1 Nd 0.0000 0.0000 0.0000
Y1 Y 0.0000 0.5000 0.5000
Mg1 Mg 0.0000 0.0000 0.5000
Mg2 Mg 0.2031 0.2883 0.2279
```


Nd2Y3Mg2: calculated XRD peak list (CuKα), based on a cell relaxed with PBE.
Kinematic intensities with the Lorentz-polarization factor, no thermal factor.

Most intense lines, 2θ from 10° to 90°, by angle:
| (hkl) | two_theta | I (rel.) |
| --- | --- | --- |
| 0 0 1 | 24.18 | 31 |
| 1 3 0 | 25.12 | 32 |
| 1 7 0 | 31.02 | 100 |
| 0 8 1 | 33.41 | 55 |
| 1 1 1 | 34.18 | 64 |
| 1 7 1 | 39.71 | 27 |
| 1 15 1 | 56.20 | 29 |
| 1 7 2 | 59.61 | 30 |

Cell and atoms:
```
data_Nd2Y3Mg2
_cell_length_a 3.7684
_cell_length_b 31.3393
_cell_length_c 3.6801
_cell_angle_alpha 90.00
_cell_angle_beta 90.00
_cell_angle_gamma 90.00
_space_group_name_H-M_alt 'C m m m'
_space_group_IT_number 65
_space_group_name_Hall '-C 2 2'
loop_
_atom_site_label
_atom_site_type_symbol
_atom_site_fract_x
_atom_site_fract_y
_atom_site_fract_z
Nd1 Nd 0.0000 0.2032 0.0000
Y1 Y 0.0000 0.0771 0.0000
Y2 Y 0.0000 0.5000 0.5000
Mg1 Mg 0.0000 0.3622 0.5000
```


Nd5Y2Mg: calculated XRD peak list (CuKα), based on a cell relaxed with PBE.
Kinematic intensities with the Lorentz-polarization factor, no thermal factor.

Most intense lines, 2θ from 10° to 90°, by angle:
| (hkl) | two_theta | I (rel.) |
| --- | --- | --- |
| 2 0 2 | 30.45 | 100 |
| 2 2 0 | 35.21 | 34 |
| 0 0 4 | 35.48 | 17 |
| 4 0 0 | 50.65 | 12 |
| 2 2 4 | 50.85 | 24 |
| 4 2 2 | 60.26 | 28 |
| 2 0 6 | 60.61 | 14 |
| 4 0 4 | 63.36 | 12 |

Cell and atoms:
```
data_Nd5Y2Mg
_cell_length_a 7.2084
_cell_length_b 7.2084
_cell_length_c 10.1207
_cell_angle_alpha 90.00
_cell_angle_beta 90.00
_cell_angle_gamma 90.00
_space_group_name_H-M_alt 'I 4/m m m'
_space_group_IT_number 139
_space_group_name_Hall '-I 4 2'
loop_
_atom_site_label
_atom_site_type_symbol
_atom_site_fract_x
_atom_site_fract_y
_atom_site_fract_z
Nd1 Nd 0.0000 0.0000 0.0000
Nd2 Nd 0.2500 0.2500 0.2500
Y1 Y 0.0000 0.5000 0.0000
Mg1 Mg 0.0000 0.0000 0.5000
```